(1)
Starting from DFT lattice parameters and positions (GGA-PBE), the powder diffraction line list of OsSe2Cl12 was calculated for Cu Kα X-rays.
Intensities are scaled so that the largest is 100.

Peak list (12 most intense, 2θ from 10° to 90°, by angle)
2θ 10.52, 8.408 Å, intensity 71
2θ 15.56, 5.694 Å, intensity 33
2θ 15.69, 5.649 Å, intensity 33
2θ 16.24, 5.458 Å, intensity 100
2θ 21.79, 4.079 Å, intensity 26
2θ 22.57, 3.939 Å, intensity 25
2θ 25.44, 3.501 Å, intensity 44
2θ 31.42, 2.847 Å, intensity 32
2θ 31.70, 2.823 Å, intensity 19
2θ 39.59, 2.277 Å, intensity 19
2θ 40.25, 2.241 Å, intensity 35
2θ 48.33, 1.883 Å, intensity 16

```
OsSe2Cl12
1.0
0.0000 6.5962 10.9439
6.2926 0.0000 10.9439
6.2926 6.5962 0.0000
Os Se Cl
2 4 24
Direct
0.0000 0.0000 0.0000 Os
0.2500 0.2500 0.2500 Os
0.1813 0.6491 0.3490 Se
0.4294 0.9010 0.6009 Se
0.6491 0.1813 0.8206 Se
0.9010 0.4294 0.0687 Se
0.0470 0.1010 0.1091 Cl
0.0554 0.6232 0.5829 Cl
0.1010 0.0470 0.7429 Cl
0.1409 0.5071 0.2030 Cl
0.2062 0.7724 0.4329 Cl
0.2135 0.2823 0.9974 Cl
0.2526 0.7432 0.0365 Cl
0.2823 0.2135 0.5068 Cl
0.3522 0.9941 0.2986 Cl
0.4141 0.4297 0.8054 Cl
0.4297 0.4141 0.3507 Cl
0.4446 0.8993 0.8359 Cl
0.5071 0.1409 0.1490 Cl
0.5115 0.6671 0.6268 Cl
0.6232 0.0554 0.7385 Cl
0.6615 0.8171 0.4776 Cl
0.6671 0.5115 0.1946 Cl
0.7432 0.2526 0.9677 Cl
0.7724 0.2062 0.5885 Cl
0.8171 0.6615 0.0438 Cl
0.8949 0.9514 0.2559 Cl
0.8993 0.4446 0.8203 Cl
0.9514 0.8949 0.8978 Cl
0.9941 0.3522 0.3551 Cl
```

=====

(2)
Starting from DFT lattice parameters and positions (GGA-PBE), the powder diffraction line list of Ta3OsCl was calculated for Cu Kα X-rays.
Intensities are scaled so that the largest is 100.

Peak list (8 most intense, 2θ from 10° to 90°, by angle)
2θ 19.92, 4.458 Å, intensity 1
2θ 28.31, 3.152 Å, intensity 1
2θ 34.86, 2.574 Å, intensity 100
2θ 40.47, 2.229 Å, intensity 61
2θ 58.57, 1.576 Å, intensity 41
2θ 70.00, 1.344 Å, intensity 41
2θ 73.61, 1.287 Å, intensity 14
2θ 87.54, 1.114 Å, intensity 7

```
Ta3OsCl
1.0
4.4578 0.0000 0.0000
0.0000 4.4578 0.0000
0.0000 0.0000 4.4578
Ta Os Cl
3 1 1
Direct
0.0000 0.0000 0.5000 Ta
0.0000 0.5000 0.0000 Ta
0.5000 0.0000 0.0000 Ta
0.5000 0.5000 0.5000 Os
0.0000 0.0000 0.0000 Cl
```